For NaLiB2H10N2, a structure optimized by DFT (PBE) gives the theoretical powder X-ray diffraction pattern in this record (Cu Kα (weighted mean of Kα1 and Kα2)).
Peak positions follow from Bragg's law for the DFT cell and can differ from measured ones.

Cell and atoms:
Cell lengths 5.1008, 7.2340, 8.8301 Å; angles 102.96, 101.74, 106.92 degrees
Sites, in units of the cell vectors:
Na (0.1512, 0.2691, 0.4837)
Na (0.8488, 0.7309, 0.5163)
Li (0.4764, 0.0562, 0.8668)
Li (0.5236, 0.9438, 0.1332)
B (0.0195, 0.1252, 0.7490)
B (0.3570, 0.6897, 0.6961)
B (0.6430, 0.3103, 0.3039)
B (0.9805, 0.8748, 0.2510)
H (0.0145, 0.6896, 0.0335)
H (0.0380, 0.9771, 0.7935)
H (0.1074, 0.5811, 0.6757)
H (0.1226, 0.9384, 0.3949)
H (0.1716, 0.6523, 0.1971)
H (0.2651, 0.1743, 0.1046)
H (0.2674, 0.2316, 0.7578)
H (0.3555, 0.8276, 0.6347)
H (0.4710, 0.5861, 0.6199)
H (0.4784, 0.6651, 0.9334)
H (0.5216, 0.3349, 0.0666)
H (0.5290, 0.4139, 0.3801)
H (0.6445, 0.1724, 0.3653)
H (0.7326, 0.7684, 0.2422)
H (0.7349, 0.8257, 0.8954)
H (0.8284, 0.3477, 0.8029)
H (0.8774, 0.0616, 0.6051)
H (0.8926, 0.4189, 0.3243)
H (0.9620, 0.0229, 0.2065)
H (0.9855, 0.3104, 0.9665)
N (0.1367, 0.7637, 0.1511)
N (0.4808, 0.2203, 0.1183)
N (0.5192, 0.7797, 0.8817)
N (0.8633, 0.2363, 0.8489)

Main lines, low angle first (10 to 90 degrees two-theta):
index	2θ/deg	I_rel
1 0 -1	18.96	21.0
0 1 -2	21.70	16.2
1 -1 1	22.57	100.0
0 2 0	27.04	62.0
-1 1 2	27.80	24.9
1 1 -2	27.99	63.7
1 1 1	32.60	37.8
-2 1 1	35.49	13.8
0 2 -3	35.65	17.9
2 0 -1	36.84	16.2



For NaLiSiB3HO8, a structure optimized by DFT (PBE) gives the theoretical powder X-ray diffraction pattern in this record (Cu Kα (weighted mean of Kα1 and Kα2)).
Peak positions follow from Bragg's law for the DFT cell and can differ from measured ones.

Cell and atoms:
Cell lengths 6.8462, 13.9928, 7.8025 Å; angles 90.00, 124.40, 90.00 degrees
Sites, in units of the cell vectors:
Na (0.0237, 0.0083, 0.2435)
Na (0.0237, 0.4917, 0.7435)
Na (0.9763, 0.5083, 0.2565)
Na (0.9763, 0.9917, 0.7565)
Li (0.4596, 0.2002, 0.1228)
Li (0.4596, 0.2998, 0.6228)
Li (0.5404, 0.7002, 0.3772)
Li (0.5404, 0.7998, 0.8772)
Si (0.0439, 0.7471, 0.7117)
Si (0.0439, 0.7529, 0.2117)
Si (0.9561, 0.2471, 0.7883)
Si (0.9561, 0.2529, 0.2883)
B (0.2326, 0.1527, 0.6804)
B (0.2326, 0.3473, 0.1804)
B (0.3189, 0.6508, 0.5865)
B (0.3189, 0.8492, 0.0865)
B (0.4621, 0.0062, 0.7171)
B (0.4621, 0.4938, 0.2171)
B (0.5379, 0.5062, 0.7829)
B (0.5379, 0.9938, 0.2829)
B (0.6811, 0.1508, 0.9135)
B (0.6811, 0.3492, 0.4135)
B (0.7674, 0.6527, 0.8196)
B (0.7674, 0.8473, 0.3196)
H (0.3063, 0.6139, 0.0597)
H (0.3063, 0.8861, 0.5597)
H (0.6937, 0.1139, 0.4403)
H (0.6937, 0.3861, 0.9403)
O (0.0311, 0.1542, 0.7058)
O (0.0311, 0.3458, 0.2058)
O (0.1278, 0.6591, 0.3640)
O (0.1278, 0.8409, 0.8640)
O (0.1842, 0.2218, 0.5167)
O (0.1842, 0.2782, 0.0167)
O (0.2480, 0.0527, 0.6179)
O (0.2480, 0.4473, 0.1179)
O (0.2727, 0.7139, 0.7122)
O (0.2727, 0.7861, 0.2122)
O (0.3207, 0.5470, 0.6447)
O (0.3207, 0.9530, 0.1447)
O (0.4533, 0.1759, 0.8757)
O (0.4533, 0.3241, 0.3757)
O (0.4633, 0.5909, 0.1734)
O (0.4633, 0.9091, 0.6734)
O (0.5367, 0.0909, 0.3266)
O (0.5367, 0.4091, 0.8266)
O (0.5467, 0.6759, 0.6243)
O (0.5467, 0.8241, 0.1243)
O (0.6793, 0.0470, 0.8553)
O (0.6793, 0.4530, 0.3553)
O (0.7273, 0.2139, 0.7878)
O (0.7273, 0.2861, 0.2878)
O (0.7520, 0.5527, 0.8821)
O (0.7520, 0.9473, 0.3821)
O (0.8158, 0.7218, 0.9833)
O (0.8158, 0.7782, 0.4833)
O (0.8722, 0.1591, 0.1360)
O (0.8722, 0.3409, 0.6360)
O (0.9689, 0.6542, 0.7942)
O (0.9689, 0.8458, 0.2942)

Main lines, low angle first (10 to 90 degrees two-theta):
index	2θ/deg	I_rel
0 2 0	12.65	55.2
1 0 0	15.69	28.7
0 2 1	18.75	100.0
1 2 0	20.20	36.5
1 3 -1	23.59	38.9
0 0 2	27.71	76.0
2 0 -2	27.87	85.9
1 3 -2	29.86	71.4
1 0 2	39.27	29.8
1 5 -2	39.63	36.5